[1]
For V3Pb5ClO12, a PBE+U-relaxed structure gives the simulated X-ray powder pattern in this record (Cu Kα (weighted mean of Kα1 and Kα2)).
No peak broadening, texture or thermal motion is included.

Atomic structure:
Unit cell a=10.6196 b=10.6196 c=7.3258 alpha=90.00 beta=90.00 gamma=120.00
Space group P6_3/m (No. 176)
Symmetry-distinct sites (fractional):
V  0.0293  0.4138  0.2500 (multiplicity 6)
Pb  0.0233  0.7619  0.2500 (multiplicity 6)
Pb  0.3333  0.6667  0.5094 (multiplicity 4)
Cl  0.0000  0.0000  0.0000 (multiplicity 2)
O  0.0911  0.3608  0.0612 (multiplicity 12)
O  0.1241  0.6066  0.2500 (multiplicity 6)
O  0.1587  0.6562  0.7500 (multiplicity 6)

Largest 8 diffraction maxima, most intense first, 10° ≤ 2θ ≤ 90°:
h k l, two_theta, d [Å], I/Imax
1 2 1, 28.42, 3.140, 100
1 1 2, 29.63, 3.015, 95
3 0 0, 29.13, 3.066, 54
2 2 2, 42.03, 2.150, 36
1 2 0, 25.63, 3.476, 36
1 1 1, 20.66, 4.299, 33
1 2 3, 45.39, 1.998, 30
4 0 2, 46.64, 1.947, 30

***

[2]
For Li2NiP5O15, a PBE+U-relaxed structure gives the simulated X-ray powder pattern in this record (Cu Kα (weighted mean of Kα1 and Kα2)).
No peak broadening, texture or thermal motion is included.

Atomic structure:
Unit cell a=7.7340 b=11.6943 c=13.5494 alpha=90.00 beta=102.80 gamma=90.00
Space group Cc (No. 9)
Symmetry-distinct sites (fractional):
Li  0.0000  0.0878  0.0000 (multiplicity 4)
Li  0.2084  0.2463  0.4044 (multiplicity 4)
Ni  0.2396  0.3720  0.8415 (multiplicity 4)
P  0.0476  0.1102  0.7929 (multiplicity 4)
P  0.1694  0.3653  0.5936 (multiplicity 4)
P  0.3664  0.3077  0.0859 (multiplicity 4)
P  0.3747  0.0524  0.5659 (multiplicity 4)
P  0.4341  0.0964  0.7873 (multiplicity 4)
O  0.0304  0.4669  0.5630 (multiplicity 4)
O  0.0446  0.2545  0.5741 (multiplicity 4)
O  0.0534  0.4976  0.8215 (multiplicity 4)
O  0.0714  0.2329  0.8278 (multiplicity 4)
O  0.2074  0.0141  0.0668 (multiplicity 4)
O  0.2338  0.0542  0.7827 (multiplicity 4)
O  0.2354  0.2247  0.1132 (multiplicity 4)
O  0.2630  0.3736  0.7016 (multiplicity 4)
O  0.2776  0.3598  0.5152 (multiplicity 4)
O  0.3086  0.3805  0.9923 (multiplicity 4)
O  0.3544  0.1291  0.4761 (multiplicity 4)
O  0.4332  0.1236  0.6685 (multiplicity 4)
O  0.4349  0.3971  0.1767 (multiplicity 4)
O  0.4625  0.4685  0.3557 (multiplicity 4)
O  0.4685  0.2097  0.8412 (multiplicity 4)

Largest 8 diffraction maxima, most intense first, 10° ≤ 2θ ≤ 90°:
h k l, two_theta, d [Å], I/Imax
2 2 -1, 27.70, 3.221, 100
1 1 -1, 14.33, 6.181, 86
0 0 4, 26.99, 3.303, 52
1 3 1, 27.28, 3.269, 33
1 3 0, 25.73, 3.463, 29
1 1 3, 26.71, 3.337, 23
1 1 1, 16.59, 5.343, 22
1 1 0, 13.97, 6.338, 19

***

[3]
For LiMnBO3, a PBE+U-relaxed structure gives the simulated X-ray powder pattern in this record (Cu Kα (weighted mean of Kα1 and Kα2)).
No peak broadening, texture or thermal motion is included.

Atomic structure:
Unit cell a=3.2352 b=9.8007 c=9.5841 alpha=90.00 beta=109.52 gamma=90.00
Space group P2_1/c (No. 14)
Symmetry-distinct sites (fractional):
Li  0.1236  0.2171  0.3734 (multiplicity 4)
Mn  0.4671  0.5528  0.7179 (multiplicity 4)
B  0.1420  0.7088  0.3924 (multiplicity 4)
O  0.0518  0.5925  0.3013 (multiplicity 4)
O  0.0695  0.6650  0.8215 (multiplicity 4)
O  0.2948  0.7011  0.5442 (multiplicity 4)

Largest 8 diffraction maxima, most intense first, 10° ≤ 2θ ≤ 90°:
h k l, two_theta, d [Å], I/Imax
0 0 2, 19.66, 4.517, 100
0 2 2, 26.84, 3.321, 76
1 2 -2, 34.68, 2.587, 59
1 4 1, 50.94, 1.793, 50
0 2 1, 20.62, 4.307, 47
0 1 1, 13.33, 6.642, 45
1 2 -1, 33.18, 2.700, 37
1 1 -2, 30.74, 2.909, 35

***

[4]
For MnOF, a PBE+U-relaxed structure gives the simulated X-ray powder pattern in this record (Cu Kα (weighted mean of Kα1 and Kα2)).
No peak broadening, texture or thermal motion is included.

Atomic structure:
Unit cell a=5.6922 b=6.9069 c=6.9349 alpha=96.54 beta=90.80 gamma=91.34
Space group P1 (No. 1)
Symmetry-distinct sites (fractional):
Mn  0.0000  0.0000  0.0000 (multiplicity 1)
Mn  0.0031  0.5118  0.5208 (multiplicity 1)
Mn  0.2976  0.2572  0.7609 (multiplicity 1)
Mn  0.3468  0.7484  0.2731 (multiplicity 1)
Mn  0.4989  0.7764  0.7497 (multiplicity 1)
Mn  0.5027  0.2632  0.2366 (multiplicity 1)
Mn  0.7642  0.0367  0.4943 (multiplicity 1)
Mn  0.8153  0.5207  0.9931 (multiplicity 1)
O  0.0427  0.4508  0.7858 (multiplicity 1)
O  0.2656  0.1887  0.0216 (multiplicity 1)
O  0.2739  0.7019  0.5417 (multiplicity 1)
O  0.5345  0.0498  0.6938 (multiplicity 1)
O  0.5394  0.9946  0.2959 (multiplicity 1)
O  0.5537  0.5263  0.1763 (multiplicity 1)
O  0.7642  0.2965  0.4412 (multiplicity 1)
O  0.7673  0.7951  0.9388 (multiplicity 1)
F  0.0132  0.0448  0.7006 (multiplicity 1)
F  0.0184  0.9648  0.2951 (multiplicity 1)
F  0.0482  0.5502  0.2345 (multiplicity 1)
F  0.2572  0.7953  0.9861 (multiplicity 1)
F  0.2701  0.2937  0.4800 (multiplicity 1)
F  0.5402  0.4926  0.7758 (multiplicity 1)
F  0.7633  0.7486  0.5224 (multiplicity 1)
F  0.7829  0.2291  0.0240 (multiplicity 1)

Largest 8 diffraction maxima, most intense first, 10° ≤ 2θ ≤ 90°:
h k l, two_theta, d [Å], I/Imax
1 -2 0, 30.09, 2.970, 100
-1 1 1, 24.53, 3.630, 58
1 1 1, 25.22, 3.531, 51
1 2 0, 30.77, 2.905, 51
1 0 2, 30.56, 2.925, 47
-2 1 3, 53.52, 1.712, 38
0 4 0, 53.43, 1.715, 25
0 0 4, 53.18, 1.722, 24

***

[5]
For Li9Mn7O16, a PBE+U-relaxed structure gives the simulated X-ray powder pattern in this record (Cu Kα (weighted mean of Kα1 and Kα2)).
No peak broadening, texture or thermal motion is included.

Atomic structure:
Unit cell a=3.0212 b=6.5030 c=15.7215 alpha=87.68 beta=85.12 gamma=76.74
Space group P-1 (No. 2)
Symmetry-distinct sites (fractional):
Li  0.0000  0.0000  0.0000 (multiplicity 1)
Li  0.0397  0.8807  0.1790 (multiplicity 2)
Li  0.1875  0.6251  0.5631 (multiplicity 2)
Li  0.2992  0.3586  0.9342 (multiplicity 2)
Li  0.4495  0.1209  0.3151 (multiplicity 2)
Mn  0.1213  0.7479  0.3742 (multiplicity 2)
Mn  0.2687  0.4964  0.7538 (multiplicity 2)
Mn  0.3709  0.2426  0.1196 (multiplicity 2)
Mn  0.5000  0.0000  0.5000 (multiplicity 1)
O  0.0563  0.9516  0.5936 (multiplicity 2)
O  0.1306  0.6936  0.9559 (multiplicity 2)
O  0.1406  0.7918  0.7932 (multiplicity 2)
O  0.1863  0.5480  0.1568 (multiplicity 2)
O  0.2989  0.4491  0.3403 (multiplicity 2)
O  0.3196  0.2981  0.5318 (multiplicity 2)
O  0.4333  0.2011  0.7162 (multiplicity 2)
O  0.4756  0.0402  0.9021 (multiplicity 2)

Largest 8 diffraction maxima, most intense first, 10° ≤ 2θ ≤ 90°:
h k l, two_theta, d [Å], I/Imax
0 1 -2, 18.21, 4.871, 100
1 1 -5, 44.20, 2.049, 55
1 0 5, 40.47, 2.229, 35
1 1 3, 33.79, 2.653, 19
0 2 4, 36.11, 2.487, 12
1 0 -3, 36.29, 2.475, 12
2 1 0, 61.62, 1.505, 9
1 3 7, 61.09, 1.517, 8

***

[6]
For Li3Co2Ge2O8, a PBE+U-relaxed structure gives the simulated X-ray powder pattern in this record (Cu Kα (weighted mean of Kα1 and Kα2)).
No peak broadening, texture or thermal motion is included.

Atomic structure:
Unit cell a=5.1492 b=5.5604 c=6.5303 alpha=89.77 beta=89.31 gamma=89.87
Space group P1 (No. 1)
Symmetry-distinct sites (fractional):
Li  0.0000  0.0000  0.0000 (multiplicity 1)
Li  0.0082  0.5068  0.7485 (multiplicity 1)
Li  0.5061  0.3392  0.4935 (multiplicity 1)
Co  0.5100  0.3380  0.9936 (multiplicity 1)
Co  0.9989  0.0001  0.4853 (multiplicity 1)
Ge  0.5039  0.8464  0.7512 (multiplicity 1)
Ge  0.9976  0.4948  0.2455 (multiplicity 1)
O  0.0734  0.8091  0.2557 (multiplicity 1)
O  0.1109  0.3382  0.4753 (multiplicity 1)
O  0.1272  0.3575  0.0202 (multiplicity 1)
O  0.1504  0.8559  0.7329 (multiplicity 1)
O  0.6092  0.5423  0.7568 (multiplicity 1)
O  0.6131  0.0086  0.9626 (multiplicity 1)
O  0.6334  0.0028  0.5315 (multiplicity 1)
O  0.6625  0.4469  0.2427 (multiplicity 1)

Largest 8 diffraction maxima, most intense first, 10° ≤ 2θ ≤ 90°:
h k l, two_theta, d [Å], I/Imax
0 1 1, 20.98, 4.234, 100
1 0 -1, 22.11, 4.020, 63
1 0 1, 21.85, 4.067, 61
2 0 0, 34.85, 2.574, 45
0 2 0, 32.20, 2.780, 29
-1 1 2, 36.53, 2.460, 28
0 1 -2, 31.84, 2.810, 24
1 -2 0, 36.74, 2.446, 23

***

[7]
For Sr5Cr3O12F, a PBE+U-relaxed structure gives the simulated X-ray powder pattern in this record (Cu Kα (weighted mean of Kα1 and Kα2)).
No peak broadening, texture or thermal motion is included.

Atomic structure:
Unit cell a=10.0937 b=10.0937 c=7.5037 alpha=90.00 beta=90.00 gamma=120.00
Space group P6_3/m (No. 176)
Symmetry-distinct sites (fractional):
Sr  0.0063  0.7576  0.2500 (multiplicity 6)
Sr  0.3333  0.6667  0.0000 (multiplicity 4)
Cr  0.0294  0.6305  0.7500 (multiplicity 6)
O  0.0904  0.7474  0.5657 (multiplicity 12)
O  0.1291  0.5321  0.7500 (multiplicity 6)
O  0.1678  0.4785  0.2500 (multiplicity 6)
F  0.0000  0.0000  0.2500 (multiplicity 2)

Largest 8 diffraction maxima, most intense first, 10° ≤ 2θ ≤ 90°:
h k l, two_theta, d [Å], I/Imax
1 2 1, 29.54, 3.024, 100
1 1 2, 29.67, 3.011, 63
3 0 0, 30.68, 2.914, 51
1 2 3, 45.48, 1.994, 35
2 2 2, 43.20, 2.094, 33
0 0 2, 23.71, 3.752, 23
1 2 0, 26.99, 3.304, 23
1 0 2, 25.84, 3.448, 21

***

[8]
For Sr2CaV2Si4O14, a PBE+U-relaxed structure gives the simulated X-ray powder pattern in this record (Cu Kα (weighted mean of Kα1 and Kα2)).
No peak broadening, texture or thermal motion is included.

Atomic structure:
Unit cell a=5.8687 b=7.3423 c=8.0008 alpha=84.84 beta=70.83 gamma=75.49
Space group P1 (No. 1)
Symmetry-distinct sites (fractional):
Sr  0.0000  0.0000  0.0000 (multiplicity 1)
Sr  0.3221  0.4690  0.1082 (multiplicity 1)
Ca  0.1218  0.7303  0.5203 (multiplicity 1)
V  0.3050  0.1096  0.3657 (multiplicity 1)
V  0.9915  0.3159  0.6697 (multiplicity 1)
Si  0.5481  0.1778  0.7389 (multiplicity 1)
Si  0.5754  0.7337  0.7351 (multiplicity 1)
Si  0.6789  0.7094  0.3299 (multiplicity 1)
Si  0.7740  0.2821  0.3276 (multiplicity 1)
O  0.0698  0.1878  0.2301 (multiplicity 1)
O  0.1318  0.0450  0.5960 (multiplicity 1)
O  0.1926  0.3980  0.4478 (multiplicity 1)
O  0.2501  0.2578  0.8150 (multiplicity 1)
O  0.3270  0.7219  0.8924 (multiplicity 1)
O  0.4536  0.8421  0.2668 (multiplicity 1)
O  0.5389  0.6876  0.5465 (multiplicity 1)
O  0.6286  0.1679  0.2496 (multiplicity 1)
O  0.6337  0.9475  0.7070 (multiplicity 1)
O  0.6873  0.2338  0.8679 (multiplicity 1)
O  0.6942  0.2761  0.5459 (multiplicity 1)
O  0.7184  0.4980  0.2491 (multiplicity 1)
O  0.8354  0.5954  0.7456 (multiplicity 1)
O  0.9448  0.7612  0.2789 (multiplicity 1)

Largest 8 diffraction maxima, most intense first, 10° ≤ 2θ ≤ 90°:
h k l, two_theta, d [Å], I/Imax
1 1 2, 25.23, 3.531, 100
1 1 1, 18.52, 4.790, 99
1 2 -1, 31.35, 2.854, 74
0 2 -1, 27.83, 3.206, 69
2 0 1, 31.52, 2.838, 69
0 1 -3, 37.99, 2.368, 63
1 0 2, 24.10, 3.693, 58
-1 1 1, 28.12, 3.174, 56